1.
This entry pairs a crystal structure of K3ZrS3 with its calculated powder diffraction line list. Radiation: Cu Kα X-rays. Structure: a crystal structure in Alexandria, relaxed with PBE.

Peak list (6 most intense, 2θ = 15–90°, by angle)
19.25 deg, d 4.610, I = 78.3
24.02 deg, d 3.705, I = 63.0
29.20 deg, d 3.058, I = 83.4
30.03 deg, d 2.976, I = 58.2
30.66 deg, d 2.916, I = 100.0
35.02 deg, d 2.562, I = 57.8

Crystal structure
Unit cell a=7.9664 b=13.3075 c=10.2067 alpha=90.00 beta=126.63 gamma=90.00
Fractional positions:
K: 0.0952 0.1282 0.4733
K: 0.0952 0.3718 0.9733
K: 0.1659 0.1046 0.8969
K: 0.1659 0.3954 0.3969
K: 0.3351 0.6776 0.5462
K: 0.3351 0.8224 0.0462
K: 0.6649 0.1776 0.9538
K: 0.6649 0.3224 0.4538
K: 0.8341 0.6046 0.6031
K: 0.8341 0.8954 0.1031
K: 0.9048 0.6282 0.0267
K: 0.9048 0.8718 0.5267
Zr: 0.4463 0.0608 0.3457
Zr: 0.4463 0.4392 0.8457
Zr: 0.5537 0.5608 0.1543
Zr: 0.5537 0.9392 0.6543
S: 0.1723 0.1903 0.2048
S: 0.1723 0.3097 0.7048
S: 0.3163 0.6087 0.8588
S: 0.3163 0.8913 0.3588
S: 0.3600 0.5386 0.2682
S: 0.3600 0.9614 0.7682
S: 0.6400 0.0386 0.2318
S: 0.6400 0.4614 0.7318
S: 0.6837 0.1087 0.6412
S: 0.6837 0.3913 0.1412
S: 0.8277 0.6903 0.2952
S: 0.8277 0.8097 0.7952

***

2.
This entry pairs a crystal structure of K2ZrS4 with its calculated powder diffraction line list. Radiation: Cu Kα X-rays. Structure: a crystal structure in Alexandria, relaxed with PBE.

Peak list (6 most intense, 2θ = 15–90°, by angle)
19.57 deg, d 4.536, I = 70.8
24.68 deg, d 3.607, I = 100.0
29.05 deg, d 3.074, I = 79.9
31.95 deg, d 2.801, I = 73.2
32.41 deg, d 2.762, I = 91.4
33.08 deg, d 2.708, I = 73.1

Crystal structure
Unit cell a=6.7855 b=23.7883 c=9.5469 alpha=90.00 beta=90.00 gamma=90.00
Fractional positions:
K: 0.0834 0.2019 0.0673
K: 0.0834 0.2981 0.5673
K: 0.1970 0.5341 0.3592
K: 0.1970 0.9659 0.8592
K: 0.3030 0.0341 0.3592
K: 0.3030 0.4659 0.8592
K: 0.4166 0.7019 0.0673
K: 0.4166 0.7981 0.5673
K: 0.5834 0.2019 0.4327
K: 0.5834 0.2981 0.9327
K: 0.6970 0.5341 0.1408
K: 0.6970 0.9659 0.6408
K: 0.8030 0.0341 0.1408
K: 0.8030 0.4659 0.6408
K: 0.9166 0.7019 0.4327
K: 0.9166 0.7981 0.9327
Zr: 0.0641 0.1291 0.6701
Zr: 0.0641 0.3709 0.1701
Zr: 0.4359 0.6291 0.6701
Zr: 0.4359 0.8709 0.1701
Zr: 0.5641 0.1291 0.8299
Zr: 0.5641 0.3709 0.3299
Zr: 0.9359 0.6291 0.8299
Zr: 0.9359 0.8709 0.3299
S: 0.0859 0.1606 0.4112
S: 0.0859 0.3394 0.9112
S: 0.1071 0.5922 0.0536
S: 0.1071 0.9078 0.5536
S: 0.1336 0.5629 0.6744
S: 0.1336 0.9371 0.1744
S: 0.1923 0.7022 0.7591
S: 0.1923 0.7978 0.2591
S: 0.3077 0.2022 0.7591
S: 0.3077 0.2978 0.2591
S: 0.3664 0.0629 0.6744
S: 0.3664 0.4371 0.1744
S: 0.3929 0.0922 0.0536
S: 0.3929 0.4078 0.5536
S: 0.4141 0.6606 0.4112
S: 0.4141 0.8394 0.9112
S: 0.5859 0.1606 0.0888
S: 0.5859 0.3394 0.5888
S: 0.6071 0.5922 0.4464
S: 0.6071 0.9078 0.9464
S: 0.6336 0.5629 0.8256
S: 0.6336 0.9371 0.3256
S: 0.6923 0.7022 0.7409
S: 0.6923 0.7978 0.2409
S: 0.8077 0.2022 0.7409
S: 0.8077 0.2978 0.2409
S: 0.8664 0.0629 0.8256
S: 0.8664 0.4371 0.3256
S: 0.8929 0.0922 0.4464
S: 0.8929 0.4078 0.9464
S: 0.9141 0.6606 0.0888
S: 0.9141 0.8394 0.5888

***

3.
This entry pairs a crystal structure of K5Sb3 with its calculated powder diffraction line list. Radiation: Cu Kα X-rays. Structure: a crystal structure in Alexandria, relaxed with PBE.

Peak list (6 most intense, 2θ = 15–90°, by angle)
16.24 deg, d 5.458, I = 19.0
24.53 deg, d 3.630, I = 13.9
29.56 deg, d 3.022, I = 100.0
32.82 deg, d 2.729, I = 18.1
34.63 deg, d 2.590, I = 16.2
35.29 deg, d 2.543, I = 15.6

Crystal structure
Unit cell a=7.5253 b=7.5253 c=5.0867 alpha=90.00 beta=90.00 gamma=92.99
Fractional positions:
K: 0.0000 0.0000 0.0000
K: 0.0000 0.5000 0.0000
K: 0.2747 0.7253 0.5000
K: 0.5000 0.0000 0.0000
K: 0.7253 0.2747 0.5000
Sb: 0.2579 0.2579 0.5000
Sb: 0.5000 0.5000 0.0000
Sb: 0.7421 0.7421 0.5000

***

4.
This entry pairs a crystal structure of K5Sb4 with its calculated powder diffraction line list. Radiation: Cu Kα X-rays. Structure: a crystal structure in Alexandria, relaxed with PBE.

Peak list (6 most intense, 2θ = 15–90°, by angle)
15.20 deg, d 5.828, I = 38.0
17.77 deg, d 4.990, I = 82.0
26.38 deg, d 3.379, I = 44.1
28.56 deg, d 3.125, I = 40.4
31.72 deg, d 2.821, I = 100.0
32.43 deg, d 2.761, I = 45.8

Crystal structure
Unit cell a=6.8463 b=6.8463 c=11.3998 alpha=109.61 beta=109.61 gamma=47.57
Fractional positions:
K: 0.0000 0.0000 0.0000
K: 0.1004 0.1004 0.3906
K: 0.2451 0.2451 0.8341
K: 0.7549 0.7549 0.1659
K: 0.8996 0.8996 0.6094
Sb: 0.3950 0.3950 0.3919
Sb: 0.4558 0.4558 0.1758
Sb: 0.5442 0.5442 0.8242
Sb: 0.6050 0.6050 0.6081

***

5.
This entry pairs a crystal structure of K3Sb with its calculated powder diffraction line list. Radiation: Cu Kα X-rays. Structure: a crystal structure in Alexandria, relaxed with PBE.

Peak list (6 most intense, 2θ = 15–90°, by angle)
18.41 deg, d 4.820, I = 46.7
26.15 deg, d 3.408, I = 43.3
29.30 deg, d 3.048, I = 33.6
32.17 deg, d 2.783, I = 100.0
50.07 deg, d 1.822, I = 54.7
88.41 deg, d 1.106, I = 15.9

Crystal structure
Unit cell a=6.8162 b=6.8162 c=6.8162 alpha=90.00 beta=90.00 gamma=90.00
Fractional positions:
K: 0.0000 0.2500 0.5000
K: 0.0000 0.7500 0.5000
K: 0.2500 0.5000 0.0000
K: 0.5000 0.0000 0.2500
K: 0.5000 0.0000 0.7500
K: 0.7500 0.5000 0.0000
Sb: 0.0000 0.0000 0.0000
Sb: 0.5000 0.5000 0.5000

***

6.
This entry pairs a crystal structure of KSb4 with its calculated powder diffraction line list. Radiation: Cu Kα X-rays. Structure: a crystal structure in Alexandria, relaxed with PBE.

Peak list (6 most intense, 2θ = 15–90°, by angle)
15.90 deg, d 5.575, I = 73.5
27.32 deg, d 3.264, I = 44.0
28.68 deg, d 3.112, I = 68.8
31.42 deg, d 2.848, I = 100.0
39.31 deg, d 2.292, I = 60.8
43.05 deg, d 2.101, I = 44.4

Crystal structure
Unit cell a=6.8772 b=6.8772 c=6.8772 alpha=131.08 beta=131.08 gamma=71.68
Fractional positions:
K: 0.0000 0.0000 0.0000
Sb: 0.2500 0.7500 0.5000
Sb: 0.3488 0.3488 0.0000
Sb: 0.6512 0.6512 0.0000
Sb: 0.7500 0.2500 0.5000

***

7.
This entry pairs a crystal structure of K2Sc2SbSe6 with its calculated powder diffraction line list. Radiation: Cu Kα X-rays. Structure: a crystal structure in Alexandria, relaxed with PBE.

Peak list (6 most intense, 2θ = 15–90°, by angle)
29.96 deg, d 2.983, I = 100.0
30.15 deg, d 2.965, I = 49.5
37.21 deg, d 2.416, I = 24.9
40.19 deg, d 2.244, I = 43.5
45.70 deg, d 1.985, I = 34.3
50.00 deg, d 1.824, I = 23.6

Crystal structure
Unit cell a=6.9038 b=6.9038 c=8.2037 alpha=97.89 beta=97.89 gamma=120.39
Fractional positions:
K: 0.1646 0.8354 0.0000
K: 0.8354 0.1646 0.0000
Sc: 0.3320 0.6680 0.5000
Sc: 0.6680 0.3320 0.5000
Sb: 0.0000 0.0000 0.5000
Se: 0.0651 0.4035 0.6939
Se: 0.2766 0.2766 0.3067
Se: 0.4035 0.0651 0.6939
Se: 0.5965 0.9349 0.3061
Se: 0.7234 0.7234 0.6933
Se: 0.9349 0.5965 0.3061

***

8.
This entry pairs a crystal structure of KSbSe with its calculated powder diffraction line list. Radiation: Cu Kα X-rays. Structure: a crystal structure in Alexandria, relaxed with PBE.

Peak list (6 most intense, 2θ = 15–90°, by angle)
17.43 deg, d 5.088, I = 100.0
20.74 deg, d 4.282, I = 27.0
32.40 deg, d 2.763, I = 37.4
32.96 deg, d 2.718, I = 26.1
35.85 deg, d 2.505, I = 59.3
49.47 deg, d 1.842, I = 27.6

Crystal structure
Unit cell a=8.4737 b=8.4737 c=8.4737 alpha=142.59 beta=131.57 gamma=62.76
Fractional positions:
K: 0.1463 0.1463 0.0000
K: 0.8537 0.8537 0.0000
Sb: 0.2151 0.5000 0.7151
Sb: 0.7849 0.5000 0.2849
Se: 0.3745 0.3745 0.0000
Se: 0.6255 0.6255 0.0000

***

9.
This entry pairs a crystal structure of K3SbSe4 with its calculated powder diffraction line list. Radiation: Cu Kα X-rays. Structure: a crystal structure in Alexandria, relaxed with PBE.

Peak list (6 most intense, 2θ = 15–90°, by angle)
15.06 deg, d 5.884, I = 91.2
15.65 deg, d 5.662, I = 78.3
26.23 deg, d 3.397, I = 58.6
26.59 deg, d 3.353, I = 86.0
30.38 deg, d 2.942, I = 88.5
31.61 deg, d 2.831, I = 100.0

Crystal structure
Unit cell a=8.1709 b=8.1709 c=8.1709 alpha=92.12 beta=92.12 gamma=92.12
Fractional positions:
K: 0.1347 0.2063 0.6590
K: 0.1590 0.7063 0.6347
K: 0.2063 0.6590 0.1347
K: 0.6347 0.1590 0.7063
K: 0.6590 0.1347 0.2063
K: 0.7063 0.6347 0.1590
Sb: 0.1575 0.1575 0.1575
Sb: 0.6575 0.6575 0.6575
Se: 0.0000 0.9600 0.3303
Se: 0.3303 0.0000 0.9600
Se: 0.3420 0.3420 0.3420
Se: 0.4600 0.5000 0.8303
Se: 0.5000 0.8303 0.4600
Se: 0.8303 0.4600 0.5000
Se: 0.8420 0.8420 0.8420
Se: 0.9600 0.3303 0.0000

***

10.
This entry pairs a crystal structure of K3SbSe4 with its calculated powder diffraction line list. Radiation: Cu Kα X-rays. Structure: a crystal structure in Alexandria, relaxed with PBE.

Peak list (6 most intense, 2θ = 15–90°, by angle)
15.65 deg, d 5.661, I = 32.5
20.05 deg, d 4.428, I = 53.9
26.74 deg, d 3.334, I = 33.3
28.32 deg, d 3.151, I = 37.9
30.07 deg, d 2.972, I = 100.0
31.60 deg, d 2.832, I = 39.7

Crystal structure
Unit cell a=9.6498 b=11.3219 c=10.4672 alpha=90.00 beta=90.00 gamma=90.00
Fractional positions:
K: 0.0866 0.0434 0.2040
K: 0.0866 0.4566 0.2040
K: 0.1350 0.7500 0.4298
K: 0.3650 0.2500 0.9298
K: 0.4134 0.5434 0.7040
K: 0.4134 0.9566 0.7040
K: 0.5866 0.0434 0.2960
K: 0.5866 0.4566 0.2960
K: 0.6350 0.7500 0.0702
K: 0.8650 0.2500 0.5702
K: 0.9134 0.5434 0.7960
K: 0.9134 0.9566 0.7960
Sb: 0.2159 0.7500 0.9835
Sb: 0.2841 0.2500 0.4835
Sb: 0.7159 0.7500 0.5165
Sb: 0.7841 0.2500 0.0165
Se: 0.0005 0.2500 0.8806
Se: 0.9995 0.7500 0.1194
Se: 0.1431 0.0664 0.5273
Se: 0.1431 0.4336 0.5273
Se: 0.1527 0.7500 0.7502
Se: 0.3473 0.2500 0.2502
Se: 0.3569 0.5664 0.0273
Se: 0.3569 0.9336 0.0273
Se: 0.5005 0.2500 0.6194
Se: 0.4995 0.7500 0.3806
Se: 0.6431 0.0664 0.9727
Se: 0.6431 0.4336 0.9727
Se: 0.6527 0.7500 0.7498
Se: 0.8473 0.2500 0.2498
Se: 0.8569 0.5664 0.4727
Se: 0.8569 0.9336 0.4727

***

11.
This entry pairs a crystal structure of KSbSe with its calculated powder diffraction line list. Radiation: Cu Kα X-rays. Structure: a crystal structure in Alexandria, relaxed with PBE.

Peak list (6 most intense, 2θ = 15–90°, by angle)
15.85 deg, d 5.591, I = 100.0
16.71 deg, d 5.305, I = 27.5
30.01 deg, d 2.978, I = 98.9
30.85 deg, d 2.899, I = 43.2
33.06 deg, d 2.710, I = 27.5
41.50 deg, d 2.176, I = 25.7

Crystal structure
Unit cell a=6.4442 b=6.4442 c=6.0291 alpha=104.40 beta=104.40 gamma=110.80
Fractional positions:
K: 0.1446 0.8554 0.5000
K: 0.8554 0.1446 0.0000
Sb: 0.4168 0.5362 0.8386
Sb: 0.5362 0.4168 0.3386
Se: 0.6018 0.8461 0.3485
Se: 0.8461 0.6018 0.8485